Structure and computed powder diffraction line list of DyCoSiH (a GGA-PBE-relaxed structure; CuKα).
Lines closer than 0.1° are merged.

Unit cell a=3.8384 b=3.8384 c=7.3281 alpha=90.00 beta=90.00 gamma=90.00
Positions (direct):
1 Dy 0.2500 0.2500 0.1645
2 Dy 0.7500 0.7500 0.8355
3 Co 0.2500 0.7500 0.5000
4 Co 0.7500 0.2500 0.5000
5 Si 0.2500 0.2500 0.6645
6 Si 0.7500 0.7500 0.3355
7 H 0.2500 0.7500 0.0000
8 H 0.7500 0.2500 0.0000

Principal peaks in the range 10° ≤ 2θ ≤ 80°, in order of rising 2θ:
d (Å), I (rel.)
3.400, 88
2.714, 30
2.650, 100
2.545, 53
2.443, 27
2.181, 48
1.919, 44
1.671, 24
1.554, 39
1.509, 24

Structure and computed powder diffraction line list of Tm6Sc5 (a GGA-PBE-relaxed structure; CuKα).
Lines closer than 0.1° are merged.

Unit cell a=7.8754 b=7.8754 c=5.6651 alpha=104.32 beta=104.32 gamma=105.17
Positions (direct):
1 Tm 0.0453 0.3334 0.6315
2 Tm 0.1876 0.1876 0.1249
3 Tm 0.3334 0.0453 0.6315
4 Tm 0.6666 0.9547 0.3685
5 Tm 0.8124 0.8124 0.8751
6 Tm 0.9547 0.6666 0.3685
7 Sc 0.2331 0.7669 0.0000
8 Sc 0.3726 0.6274 0.5000
9 Sc 0.5000 0.5000 0.0000
10 Sc 0.6274 0.3726 0.5000
11 Sc 0.7669 0.2331 0.0000

Principal peaks in the range 10° ≤ 2θ ≤ 80°, in order of rising 2θ:
d (Å), I (rel.)
7.165, 34
4.371, 42
3.334, 100
2.838, 74
2.818, 42
2.776, 53
2.743, 37
2.677, 76
2.511, 88
2.209, 38